Structure and calculated X-ray diffraction stick pattern of USeO6 (a cell relaxed with GGA-PBE; CuKα).
No peak broadening, texture or thermal motion is included.

Structural model:
```
USeO6
1.0
6.980 0.000 0.000
0.000 5.741 0.000
-3.337 0.000 13.075
U Se O
4 4 24
Direct
0.163 0.211 0.350 U
0.163 0.289 0.850 U
0.837 0.711 0.150 U
0.837 0.789 0.650 U
0.298 0.550 0.613 Se
0.298 0.950 0.113 Se
0.702 0.050 0.887 Se
0.702 0.450 0.387 Se
0.071 0.018 0.780 O
0.071 0.482 0.280 O
0.153 0.718 0.114 O
0.153 0.782 0.614 O
0.201 0.122 0.014 O
0.201 0.378 0.514 O
0.233 0.564 0.911 O
0.233 0.936 0.411 O
0.325 0.105 0.220 O
0.325 0.395 0.720 O
0.482 0.143 0.897 O
0.482 0.357 0.397 O
0.518 0.643 0.603 O
0.518 0.857 0.103 O
0.675 0.605 0.280 O
0.675 0.895 0.780 O
0.767 0.064 0.589 O
0.767 0.436 0.089 O
0.799 0.622 0.486 O
0.799 0.878 0.986 O
0.847 0.218 0.386 O
0.847 0.282 0.886 O
0.929 0.518 0.720 O
0.929 0.982 0.220 O
```

Top 10 peaks for 5° ≤ 2θ ≤ 70°, by intensity:
| hkl | 2θ (°) | I/Imax |
| --- | --- | --- |
| 0 1 2 | 20.59 | 100 |
| 1 1 0 | 20.30 | 50 |
| 2 0 0 | 26.30 | 39 |
| 2 0 -2 | 26.49 | 36 |
| 0 0 4 | 27.28 | 29 |
| 1 0 -2 | 16.36 | 29 |
| 1 1 1 | 22.43 | 25 |
| 1 1 -4 | 31.45 | 24 |
| 1 0 0 | 13.09 | 22 |
| 2 1 0 | 30.68 | 21 |